[1]
Tm2Ni15Rh2: computed powder diffraction line list (Cu Kα (λ = 1.5418 Å)), based on DFT lattice parameters and positions (PBE).
Peak positions follow from Bragg's law for the DFT cell and can differ from measured ones.

Principal peaks in the range 2θ = 15–90°, sorted by position:
2θ = 30.77°, I = 285; 2θ = 37.38°, I = 613; 2θ = 38.73°, I = 398; 2θ = 43.43°, I = 779; 2θ = 43.76°, I = 1000; 2θ = 44.67°, I = 602; 2θ = 49.17°, I = 269; 2θ = 64.07°, I = 276; 2θ = 79.71°, I = 230; 2θ = 81.75°, I = 245

Crystal structure
```
Tm2Ni15Rh2
1.0
4.167 2.406 4.053
-4.167 2.406 4.053
0.000 -4.812 4.053
Tm Ni Rh
2 15 2
Direct
0.158 0.158 0.158 Tm
0.842 0.842 0.842 Tm
0.000 0.500 0.500 Ni
0.152 0.152 0.659 Ni
0.152 0.659 0.152 Ni
0.201 0.500 0.799 Ni
0.201 0.799 0.500 Ni
0.341 0.848 0.848 Ni
0.500 0.000 0.500 Ni
0.500 0.201 0.799 Ni
0.500 0.500 0.000 Ni
0.500 0.799 0.201 Ni
0.659 0.152 0.152 Ni
0.799 0.201 0.500 Ni
0.799 0.500 0.201 Ni
0.848 0.341 0.848 Ni
0.848 0.848 0.341 Ni
0.396 0.396 0.396 Rh
0.604 0.604 0.604 Rh
```



[2]
Cs2NaTl6Pt: computed powder diffraction line list (Cu Kα (λ = 1.5418 Å)), based on DFT lattice parameters and positions (PBE).
Peak positions follow from Bragg's law for the DFT cell and can differ from measured ones.

Principal peaks in the range 2θ = 15–90°, sorted by position:
2θ = 18.25°, I = 333; 2θ = 26.56°, I = 139; 2θ = 28.62°, I = 449; 2θ = 29.48°, I = 1000; 2θ = 35.38°, I = 247; 2θ = 36.99°, I = 350; 2θ = 37.68°, I = 265; 2θ = 45.14°, I = 166; 2θ = 46.89°, I = 259; 2θ = 66.24°, I = 195

Crystal structure
```
Cs2NaTl6Pt
1.0
7.751 0.000 0.000
-3.875 6.712 0.000
0.000 0.000 7.046
Cs Na Tl Pt
2 1 6 1
Direct
0.333 0.667 0.155 Cs
0.667 0.333 0.845 Cs
0.000 0.000 0.000 Na
0.190 0.381 0.672 Tl
0.190 0.810 0.672 Tl
0.381 0.190 0.328 Tl
0.619 0.810 0.672 Tl
0.810 0.190 0.328 Tl
0.810 0.619 0.328 Tl
0.000 0.000 0.500 Pt
```



[3]
Re2B4Se: computed powder diffraction line list (Cu Kα (λ = 1.5418 Å)), based on DFT lattice parameters and positions (PBE).
Peak positions follow from Bragg's law for the DFT cell and can differ from measured ones.

Principal peaks in the range 2θ = 15–90°, sorted by position:
2θ = 23.68°, I = 623; 2θ = 31.70°, I = 1000; 2θ = 32.22°, I = 172; 2θ = 32.99°, I = 925; 2θ = 45.44°, I = 421; 2θ = 45.83°, I = 331; 2θ = 46.78°, I = 444; 2θ = 57.28°, I = 393; 2θ = 67.26°, I = 300; 2θ = 75.27°, I = 169

Crystal structure
```
Re2B4Se
1.0
-1.996 1.996 5.556
1.996 -1.996 5.556
1.996 1.996 -5.556
Re B Se
2 4 1
Direct
0.124 0.124 0.000 Re
0.876 0.876 0.000 Re
0.000 0.500 0.500 B
0.307 0.307 0.000 B
0.500 0.000 0.500 B
0.693 0.693 0.000 B
0.500 0.500 0.000 Se
```



What did the second record say?
Cs2NaTl6Pt: computed powder diffraction line list (Cu Kα (λ = 1.5418 Å)), based on DFT lattice parameters and positions (PBE).
Peak positions follow from Bragg's law for the DFT cell and can differ from measured ones.

Principal peaks in the range 2θ = 15–90°, sorted by position:
2θ = 18.25°, I = 333; 2θ = 26.56°, I = 139; 2θ = 28.62°, I = 449; 2θ = 29.48°, I = 1000; 2θ = 35.38°, I = 247; 2θ = 36.99°, I = 350; 2θ = 37.68°, I = 265; 2θ = 45.14°, I = 166; 2θ = 46.89°, I = 259; 2θ = 66.24°, I = 195

Crystal structure
```
Cs2NaTl6Pt
1.0
7.751 0.000 0.000
-3.875 6.712 0.000
0.000 0.000 7.046
Cs Na Tl Pt
2 1 6 1
Direct
0.333 0.667 0.155 Cs
0.667 0.333 0.845 Cs
0.000 0.000 0.000 Na
0.190 0.381 0.672 Tl
0.190 0.810 0.672 Tl
0.381 0.190 0.328 Tl
0.619 0.810 0.672 Tl
0.810 0.190 0.328 Tl
0.810 0.619 0.328 Tl
0.000 0.000 0.500 Pt
```



Copy entry 2 word for word.
Cs2NaTl6Pt: computed powder diffraction line list (Cu Kα (λ = 1.5418 Å)), based on DFT lattice parameters and positions (PBE).
Peak positions follow from Bragg's law for the DFT cell and can differ from measured ones.

Principal peaks in the range 2θ = 15–90°, sorted by position:
2θ = 18.25°, I = 333; 2θ = 26.56°, I = 139; 2θ = 28.62°, I = 449; 2θ = 29.48°, I = 1000; 2θ = 35.38°, I = 247; 2θ = 36.99°, I = 350; 2θ = 37.68°, I = 265; 2θ = 45.14°, I = 166; 2θ = 46.89°, I = 259; 2θ = 66.24°, I = 195

Crystal structure
```
Cs2NaTl6Pt
1.0
7.751 0.000 0.000
-3.875 6.712 0.000
0.000 0.000 7.046
Cs Na Tl Pt
2 1 6 1
Direct
0.333 0.667 0.155 Cs
0.667 0.333 0.845 Cs
0.000 0.000 0.000 Na
0.190 0.381 0.672 Tl
0.190 0.810 0.672 Tl
0.381 0.190 0.328 Tl
0.619 0.810 0.672 Tl
0.810 0.190 0.328 Tl
0.810 0.619 0.328 Tl
0.000 0.000 0.500 Pt
```



Please write out number 3 again, unchanged.
Re2B4Se: computed powder diffraction line list (Cu Kα (λ = 1.5418 Å)), based on DFT lattice parameters and positions (PBE).
Peak positions follow from Bragg's law for the DFT cell and can differ from measured ones.

Principal peaks in the range 2θ = 15–90°, sorted by position:
2θ = 23.68°, I = 623; 2θ = 31.70°, I = 1000; 2θ = 32.22°, I = 172; 2θ = 32.99°, I = 925; 2θ = 45.44°, I = 421; 2θ = 45.83°, I = 331; 2θ = 46.78°, I = 444; 2θ = 57.28°, I = 393; 2θ = 67.26°, I = 300; 2θ = 75.27°, I = 169

Crystal structure
```
Re2B4Se
1.0
-1.996 1.996 5.556
1.996 -1.996 5.556
1.996 1.996 -5.556
Re B Se
2 4 1
Direct
0.124 0.124 0.000 Re
0.876 0.876 0.000 Re
0.000 0.500 0.500 B
0.307 0.307 0.000 B
0.500 0.000 0.500 B
0.693 0.693 0.000 B
0.500 0.500 0.000 Se
```



Number 3 is which compound?
Re2B4Se